Diffraction record for YIn2OsO8. The powder X-ray diffraction pattern is computed, not measured: it uses a crystal structure in Alexandria, relaxed with GGA-PBE and Cu Kα X-rays.

Crystal structure
abc: 4.9389 6.6277 4.9503
angles: 90.00 90.74 90.00
Atoms (fractional coordinates):
Y: 0.0000 0.0000 0.0000
In: 0.5000 0.2491 0.5000
In: 0.5000 0.7509 0.5000
Os: 0.0000 0.5000 0.0000
O: 0.1868 0.2911 0.8157
O: 0.1868 0.7089 0.8157
O: 0.2772 0.5000 0.2794
O: 0.3082 0.0000 0.3105
O: 0.6918 0.0000 0.6895
O: 0.7228 0.5000 0.7206
O: 0.8132 0.2911 0.1843
O: 0.8132 0.7089 0.1843

Peak list (8 most intense, 2θ = 10–80°, sorted by position)
- 22.43 deg, intensity 14, hkl 0 1 1
- 25.31 deg, intensity 62, hkl 1 0 -1
- 25.65 deg, intensity 57, hkl 1 0 1
- 32.53 deg, intensity 100, hkl 1 2 0
- 36.34 deg, intensity 28, hkl 0 0 2
- 49.37 deg, intensity 41, hkl 2 2 -1
- 49.75 deg, intensity 39, hkl 2 2 1
- 62.93 deg, intensity 12, hkl 0 2 3